1.
Structure and computed PXRD pattern of Rb2ZrN2 (DFT lattice parameters and positions (PBE); Cu Kα).
Neutral-atom scattering factors, no anomalous dispersion.

The 10 most intense peaks (15 to 90 degrees two-theta), low angle first:
(0 0 3), 2θ 24.36, I = 38; (1 0 1), 2θ 31.08, I = 100; (0 0 4), 2θ 32.67, I = 19; (0 1 2), 2θ 34.23, I = 99; (0 1 3), 2θ 38.99, I = 45; (1 0 4), 2θ 44.92, I = 15; (1 0 5), 2θ 51.75, I = 32; (1 1 0), 2θ 53.21, I = 32; (0 1 6), 2θ 59.33, I = 37; (1 1 4), 2θ 63.85, I = 17

Crystal structure
abc: 3.4430 3.4430 10.9631
angles: 90.00 90.00 120.00
Space group P-3m1 (No. 164)
Inequivalent atoms, fractional coordinates:
1 Rb 0.3333 0.6667 0.2177
2 Zr 0.0000 0.0000 0.5000
3 N 0.3333 0.6667 0.6038

2.
Structure and computed PXRD pattern of RbDyO3 (DFT lattice parameters and positions (PBE); Cu Kα).
Neutral-atom scattering factors, no anomalous dispersion.

The 10 most intense peaks (15 to 90 degrees two-theta), low angle first:
(1 0 0), 2θ 19.64, I = 18; (1 1 0), 2θ 27.92, I = 100; (2 0 0), 2θ 39.90, I = 32; (2 1 0), 2θ 44.85, I = 9; (2 1 1), 2θ 49.40, I = 42; (2 2 0), 2θ 57.70, I = 20; (3 0 0), 2θ 61.56, I = 4; (3 1 0), 2θ 65.29, I = 19; (2 2 2), 2θ 72.45, I = 7; (3 2 1), 2θ 79.33, I = 22

Crystal structure
abc: 4.519 4.519 4.519
angles: 90.00 90.00 90.00
Space group Pm-3m (No. 221)
Inequivalent atoms, fractional coordinates:
1 Rb 0.000 0.000 0.000
2 Dy 0.500 0.500 0.500
3 O 0.000 0.500 0.500

3.
Structure and computed PXRD pattern of Sr2LiFe2N3 (DFT lattice parameters and positions (PBE); Cu Kα).
Neutral-atom scattering factors, no anomalous dispersion.

The 10 most intense peaks (15 to 90 degrees two-theta), low angle first:
(1 1 1), 2θ 21.11, I = 45; (2 0 0), 2θ 27.28, I = 79; (1 3 -1), 2θ 30.44, I = 79; (1 3 1), 2θ 30.92, I = 100; (1 1 -2), 2θ 31.12, I = 70; (1 1 2), 2θ 32.05, I = 94; (0 4 1), 2θ 34.70, I = 55; (3 1 -1), 2θ 44.04, I = 40; (2 4 -1), 2θ 44.35, I = 36; (0 4 3), 2θ 53.11, I = 43

Crystal structure
abc: 6.539 11.257 6.551
angles: 90.00 92.19 90.00
Space group C2/c (No. 15)
Inequivalent atoms, fractional coordinates:
1 Sr 0.248 0.070 0.401
2 Li 0.000 0.193 0.750
3 Fe 0.132 0.297 0.103
4 N 0.000 0.410 0.250
5 N 0.141 0.140 0.016

4.
Structure and computed PXRD pattern of LiCr2S4 (DFT lattice parameters and positions (PBE); Cu Kα).
Neutral-atom scattering factors, no anomalous dispersion.

The 10 most intense peaks (15 to 90 degrees two-theta), low angle first:
(2 0 0), 2θ 16.31, I = 100; (1 0 2), 2θ 16.47, I = 77; (1 1 2), 2θ 30.64, I = 54; (2 1 1), 2θ 31.44, I = 33; (0 1 3), 2θ 33.75, I = 44; (3 1 1), 2θ 36.60, I = 30; (4 1 0), 2θ 42.25, I = 45; (2 1 4), 2θ 42.52, I = 49; (4 1 4), 2θ 51.95, I = 42; (0 2 0), 2θ 52.80, I = 34

Crystal structure
abc: 10.868 3.467 12.395
angles: 90.00 90.00 90.00
Space group Pnma (No. 62)
Inequivalent atoms, fractional coordinates:
1 Li 0.242 0.250 0.161
2 Cr 0.059 0.250 0.383
3 Cr 0.087 0.250 0.899
4 S 0.029 0.750 0.788
5 S 0.085 0.250 0.573
6 S 0.120 0.750 0.028
7 S 0.202 0.750 0.337

5.
Structure and computed PXRD pattern of Rb2ThP3Se9 (DFT lattice parameters and positions (PBE); Cu Kα).
Neutral-atom scattering factors, no anomalous dispersion.

The 10 most intense peaks (15 to 90 degrees two-theta), low angle first:
(-2 2 1), 2θ 26.50, I = 43; (2 2 -2), 2θ 28.48, I = 50; (2 2 4), 2θ 28.77, I = 65; (2 -2 4), 2θ 29.24, I = 100; (2 -3 2), 2θ 31.11, I = 40; (0 2 5), 2θ 32.24, I = 44; (-2 3 1), 2θ 32.60, I = 38; (0 4 0), 2θ 33.18, I = 34; (1 4 0), 2θ 34.14, I = 50; (4 0 3), 2θ 34.88, I = 58

Crystal structure
abc: 10.432 10.806 17.053
angles: 89.92 72.57 88.26
Space group P1 (No. 1)
Inequivalent atoms, fractional coordinates:
1 Rb 0.000 0.000 0.000
2 Rb 0.030 0.494 0.723
3 Rb 0.190 0.581 0.416
4 Rb 0.278 0.063 0.333
5 Rb 0.440 0.152 0.025
6 Rb 0.483 0.637 0.742
7 Rb 0.710 0.576 0.407
8 Rb 0.759 0.071 0.340
9 Th 0.510 0.605 0.043
10 Th 0.538 0.098 0.655
11 Th 0.932 0.548 0.093
12 Th 0.960 0.041 0.704
13 P 0.013 0.750 0.249
14 P 0.200 0.824 0.157
15 P 0.226 0.395 0.927
16 P 0.245 0.252 0.820
17 P 0.271 0.823 0.591
18 P 0.458 0.897 0.499
19 P 0.524 0.410 0.221
20 P 0.665 0.898 0.864
21 P 0.694 0.287 0.145
22 P 0.778 0.359 0.602
23 P 0.805 0.748 0.884
24 P 0.947 0.235 0.526
25 Se 0.005 0.291 0.399
26 Se 0.006 0.808 0.808
27 Se 0.031 0.207 0.835
28 Se 0.032 0.545 0.243
29 Se 0.088 0.878 0.557
30 Se 0.103 0.556 0.907
31 Se 0.104 0.238 0.589
32 Se 0.110 0.315 0.047
33 Se 0.157 0.021 0.153
34 Se 0.208 0.703 0.046
35 Se 0.262 0.943 0.702
36 Se 0.313 0.626 0.595
37 Se 0.359 0.331 0.701
38 Se 0.366 0.409 0.159
39 Se 0.367 0.091 0.841
40 Se 0.384 0.769 0.190
41 Se 0.439 0.102 0.505
42 Se 0.439 0.439 0.913
43 Se 0.464 0.838 0.939
44 Se 0.465 0.354 0.348
45 Se 0.489 0.818 0.379
46 Se 0.606 0.846 0.566
47 Se 0.618 0.320 0.545
48 Se 0.628 0.595 0.198
49 Se 0.642 0.096 0.149
50 Se 0.704 0.891 0.726
51 Se 0.720 0.571 0.863
52 Se 0.729 0.257 0.725
53 Se 0.741 0.390 0.023
54 Se 0.751 0.074 0.885
55 Se 0.767 0.755 0.021
56 Se 0.831 0.550 0.597
57 Se 0.842 0.051 0.550
58 Se 0.853 0.327 0.203
59 Se 0.865 0.800 0.182
60 Se 0.982 0.828 0.369

6.
Structure and computed PXRD pattern of BaTeS4O8 (DFT lattice parameters and positions (PBE); Cu Kα).
Neutral-atom scattering factors, no anomalous dispersion.

The 10 most intense peaks (15 to 90 degrees two-theta), low angle first:
(4 0 0), 2θ 15.59, I = 35; (5 1 0), 2θ 21.18, I = 45; (3 1 -1), 2θ 22.41, I = 48; (0 2 1), 2θ 24.08, I = 34; (2 2 -1), 2θ 25.15, I = 34; (2 2 1), 2θ 25.55, I = 100; (5 1 -1), 2θ 27.23, I = 34; (7 1 0), 2θ 28.69, I = 27; (5 3 -1), 2θ 36.00, I = 35; (7 3 0), 2θ 37.13, I = 39

Crystal structure
abc: 22.746 10.895 5.031
angles: 90.00 92.05 90.00
Space group C2/m (No. 12)
Inequivalent atoms, fractional coordinates:
1 Ba 0.216 0.000 0.158
2 Te 0.128 0.500 0.237
3 S 0.081 0.336 0.512
4 S 0.159 0.246 0.660
5 O 0.086 0.000 0.256
6 O 0.138 0.141 0.809
7 O 0.190 0.211 0.422
8 O 0.190 0.337 0.828
9 O 0.207 0.500 0.336

7.
Structure and computed PXRD pattern of Ba2YCu3O6F (DFT lattice parameters and positions (PBE); Cu Kα).
Neutral-atom scattering factors, no anomalous dispersion.

The 10 most intense peaks (15 to 90 degrees two-theta), low angle first:
(0 1 3), 2θ 31.68, I = 44; (1 1 0), 2θ 32.40, I = 100; (0 0 5), 2θ 37.54, I = 15; (1 1 3), 2θ 39.66, I = 11; (0 2 0), 2θ 45.40, I = 24; (2 0 0), 2θ 47.53, I = 15; (1 2 3), 2θ 56.88, I = 31; (2 1 3), 2θ 58.25, I = 15; (2 2 0), 2θ 67.83, I = 13; (3 1 0), 2θ 78.77, I = 9

Crystal structure
abc: 3.826 3.996 11.979
angles: 90.00 90.00 90.00
Space group Pmmm (No. 47)
Inequivalent atoms, fractional coordinates:
1 Ba 0.000 0.000 0.193
2 Y 0.000 0.000 0.500
3 Cu 0.500 0.500 0.000
4 Cu 0.500 0.500 0.358
5 O 0.000 0.500 0.382
6 O 0.500 0.000 0.377
7 O 0.500 0.500 0.157
8 F 0.500 0.000 0.000

8.
Structure and computed PXRD pattern of Rb2TlCuBr6 (DFT lattice parameters and positions (PBE); Cu Kα).
Neutral-atom scattering factors, no anomalous dispersion.

The 10 most intense peaks (15 to 90 degrees two-theta), low angle first:
(2 0 0), 2θ 16.15, I = 44; (2 2 0), 2θ 22.91, I = 45; (2 2 2), 2θ 28.16, I = 36; (4 0 0), 2θ 32.63, I = 100; (4 2 0), 2θ 36.61, I = 22; (4 2 2), 2θ 40.24, I = 20; (4 4 0), 2θ 46.81, I = 70; (4 4 4), 2θ 58.22, I = 24; (8 4 0), 2θ 77.82, I = 30; (8 4 4), 2θ 86.95, I = 22

Crystal structure
abc: 10.978 10.978 10.978
angles: 90.00 90.00 90.00
Space group Fm-3m (No. 225)
Inequivalent atoms, fractional coordinates:
1 Rb 0.250 0.250 0.250
2 Tl 0.000 0.000 0.000
3 Cu 0.000 0.000 0.500
4 Br 0.000 0.000 0.263

9.
Structure and computed PXRD pattern of RhSe (DFT lattice parameters and positions (PBE); Cu Kα).
Neutral-atom scattering factors, no anomalous dispersion.

The 10 most intense peaks (15 to 90 degrees two-theta), low angle first:
(1 0 0), 2θ 27.32, I = 34; (1 0 1), 2θ 31.63, I = 52; (1 0 2), 2θ 42.22, I = 100; (1 1 0), 2θ 48.29, I = 55; (1 0 3), 2θ 56.24, I = 9; (2 0 1), 2θ 58.88, I = 9; (0 0 4), 2θ 65.89, I = 7; (2 0 2), 2θ 66.05, I = 26; (1 1 4), 2θ 85.77, I = 21; (2 1 2), 2θ 85.92, I = 25

Crystal structure
abc: 3.7692 3.7692 5.6699
angles: 90.00 90.00 120.00
Space group P6_3/mmc (No. 194)
Inequivalent atoms, fractional coordinates:
1 Rh 0.0000 0.0000 0.0000
2 Se 0.3333 0.6667 0.2500

10.
Structure and computed PXRD pattern of LuNiSn4 (DFT lattice parameters and positions (PBE); Cu Kα).
Neutral-atom scattering factors, no anomalous dispersion.

The 10 most intense peaks (15 to 90 degrees two-theta), low angle first:
(1 1 1), 2θ 28.58, I = 24; (1 3 1), 2θ 29.98, I = 33; (0 10 0), 2θ 31.73, I = 44; (1 5 1), 2θ 32.62, I = 100; (1 7 1), 2θ 36.26, I = 98; (0 0 2), 2θ 40.54, I = 50; (2 0 0), 2θ 40.66, I = 99; (0 10 2), 2θ 52.37, I = 22; (2 10 0), 2θ 52.48, I = 22; (2 0 2), 2θ 58.77, I = 41

Crystal structure
abc: 4.437 28.204 4.451
angles: 90.00 90.00 90.00
Space group Cmmm (No. 65)
Inequivalent atoms, fractional coordinates:
1 Lu 0.000 0.194 0.000
2 Ni 0.000 0.447 0.500
3 Sn 0.000 0.000 0.500
4 Sn 0.000 0.111 0.500
5 Sn 0.000 0.287 0.500
6 Sn 0.000 0.389 0.000
7 Sn 0.000 0.500 0.000

11.
Structure and computed PXRD pattern of YP3O9 (DFT lattice parameters and positions (PBE); Cu Kα).
Neutral-atom scattering factors, no anomalous dispersion.

The 10 most intense peaks (15 to 90 degrees two-theta), low angle first:
(1 1 -1), 2θ 15.46, I = 14; (2 0 -2), 2θ 17.45, I = 14; (1 1 1), 2θ 21.01, I = 100; (3 1 -1), 2θ 22.61, I = 13; (3 1 -2), 2θ 23.76, I = 32; (4 0 -2), 2θ 24.75, I = 14; (3 1 -3), 2θ 29.34, I = 16; (2 2 0), 2θ 30.04, I = 15; (4 2 0), 2θ 40.59, I = 11; (6 2 -4), 2θ 48.65, I = 10

Crystal structure
abc: 14.513 6.938 10.249
angles: 90.00 127.10 90.00
Space group Cc (No. 9)
Inequivalent atoms, fractional coordinates:
1 Y 0.000 0.245 0.000
2 P 0.155 0.104 0.837
3 P 0.248 0.422 0.741
4 P 0.350 0.103 0.665
5 O 0.064 0.156 0.857
6 O 0.119 0.020 0.194
7 O 0.145 0.457 0.121
8 O 0.217 0.298 0.842
9 O 0.262 0.270 0.637
10 O 0.264 0.014 0.001
11 O 0.360 0.478 0.364
12 O 0.388 0.018 0.311
13 O 0.441 0.187 0.656